(1)
# UW2C2
Computed PXRD pattern, copper Kα. Input: a crystal structure in the Materials Project, relaxed with PBE.

Crystal structure
abc: 6.9331 6.9331 6.9331
angles: 98.09 98.09 135.95
Element x y z (fractional)
U: 0.0000 0.5000 0.5000
U: 0.5000 0.0000 0.5000
W: 0.2099 0.2126 0.4226
W: 0.2126 0.7901 0.0027
W: 0.7874 0.2099 0.9973
W: 0.7901 0.7874 0.5774
C: 0.0017 0.7763 0.7780
C: 0.2237 0.0017 0.2254
C: 0.7763 0.9983 0.7746
C: 0.9983 0.2237 0.2220

Principal peaks in the range 10 to 90 degrees two-theta, by angle:
2θ (°)  intensity
13.78  76
27.77  100
31.12  47
34.25  24
34.49  40
39.70  53
44.84  51
47.13  30
53.56  25
57.38  25

=====

(2)
# UW4C4
Computed PXRD pattern, copper Kα. Input: a crystal structure in the Materials Project, relaxed with PBE.

Crystal structure
abc: 8.4102 8.4102 3.1368
angles: 90.00 90.00 90.00
Element x y z (fractional)
U: 0.0000 0.0000 0.0000
U: 0.5000 0.5000 0.5000
W: 0.1133 0.3467 0.5000
W: 0.1813 0.6453 0.0000
W: 0.3467 0.8867 0.5000
W: 0.3547 0.1813 0.0000
W: 0.6453 0.8187 0.0000
W: 0.6533 0.1133 0.5000
W: 0.8187 0.3547 0.0000
W: 0.8867 0.6533 0.5000
C: 0.1057 0.7945 0.5000
C: 0.2055 0.1057 0.5000
C: 0.2739 0.4152 0.0000
C: 0.4152 0.7261 0.0000
C: 0.5848 0.2739 0.0000
C: 0.7261 0.5848 0.0000
C: 0.7945 0.8943 0.5000
C: 0.8943 0.2055 0.5000

Principal peaks in the range 10 to 90 degrees two-theta, by angle:
2θ (°)  intensity
30.05  7
33.70  62
37.33  100
48.40  15
53.59  10
58.88  8
62.67  23
66.93  12
69.59  16
79.59  7

=====

(3)
# UWC2
Computed PXRD pattern, copper Kα. Input: a crystal structure in the Materials Project, relaxed with PBE.

Crystal structure
abc: 5.6314 3.2304 11.0739
angles: 90.00 90.00 90.00
Element x y z (fractional)
U: 0.0808 0.2500 0.1416
U: 0.4192 0.7500 0.6416
U: 0.5808 0.2500 0.3584
U: 0.9192 0.7500 0.8584
W: 0.0802 0.7500 0.3974
W: 0.4198 0.2500 0.8974
W: 0.5802 0.7500 0.1026
W: 0.9198 0.2500 0.6026
C: 0.1630 0.2500 0.7548
C: 0.2490 0.2500 0.4925
C: 0.2510 0.7500 0.9925
C: 0.3370 0.7500 0.2548
C: 0.6630 0.2500 0.7452
C: 0.7490 0.2500 0.0075
C: 0.7510 0.7500 0.5075
C: 0.8370 0.7500 0.2452

Principal peaks in the range 10 to 90 degrees two-theta, by angle:
2θ (°)  intensity
32.34  32
32.82  29
32.97  17
35.92  100
40.28  18
40.41  12
57.38  19
60.02  14
67.06  13
72.13  13

=====

(4)
# UW4C4
Computed PXRD pattern, copper Kα. Input: a crystal structure in the Materials Project, relaxed with PBE.

Crystal structure
abc: 8.4145 8.4145 3.1313
angles: 90.00 90.00 90.00
Element x y z (fractional)
U: 0.0000 0.0000 0.0000
U: 0.5000 0.5000 0.5000
W: 0.1212 0.6597 0.5000
W: 0.1748 0.3618 0.0000
W: 0.3403 0.1212 0.5000
W: 0.3618 0.8252 0.0000
W: 0.6382 0.1748 0.0000
W: 0.6597 0.8788 0.5000
W: 0.8252 0.6382 0.0000
W: 0.8788 0.3403 0.5000
C: 0.1006 0.2090 0.5000
C: 0.2090 0.8994 0.5000
C: 0.2802 0.5899 0.0000
C: 0.4101 0.2802 0.0000
C: 0.5899 0.7198 0.0000
C: 0.7198 0.4101 0.0000
C: 0.7910 0.1006 0.5000
C: 0.8994 0.7910 0.5000

Principal peaks in the range 10 to 90 degrees two-theta, by angle:
2θ (°)  intensity
33.68  63
37.36  100
48.38  16
48.66  7
53.60  10
59.00  8
62.67  24
66.93  14
69.68  16
79.67  8